Mn3WO6: simulated powder diffractogram (CuKα), based on a structure optimized by DFT (GGA+U).
Kinematic intensities with the Lorentz-polarization factor, no thermal factor.

Cell and atoms:
```
Mn3WO6
1.0
4.511 2.605 3.564
-4.511 2.605 3.564
0.000 -5.209 3.564
Mn W O
6 2 12
direct
0.057 0.750 0.561
0.250 0.439 0.943
0.439 0.943 0.250
0.561 0.057 0.750
0.750 0.561 0.057
0.943 0.250 0.439
0.000 0.000 0.000
0.500 0.500 0.500
0.051 0.707 0.910
0.090 0.949 0.293
0.206 0.428 0.566
0.293 0.090 0.949
0.428 0.566 0.206
0.434 0.794 0.572
0.566 0.206 0.428
0.572 0.434 0.794
0.707 0.910 0.051
0.794 0.572 0.434
0.910 0.051 0.707
0.949 0.293 0.090
```

Top 6 peaks for 10° ≤ 2θ ≤ 90°, in order of rising 2θ:
two_theta  d (Å)  I/Imax
19.68  4.511  79
20.13  4.412  95
28.29  3.154  90
34.70  2.585  100
45.79  1.982  54
53.76  1.705  43

***

MnZn2WO6: simulated powder diffractogram (CuKα), based on a structure optimized by DFT (GGA+U).
Kinematic intensities with the Lorentz-polarization factor, no thermal factor.

Cell and atoms:
```
MnZn2WO6
1.0
5.321 0.000 0.000
2.660 4.609 0.000
2.660 1.533 4.744
Mn Zn W O
1 2 1 6
direct
0.000 0.000 0.000
0.244 0.244 0.268
0.711 0.712 0.864
0.499 0.500 0.503
0.130 0.416 0.709
0.301 0.878 0.223
0.415 0.745 0.710
0.598 0.301 0.224
0.745 0.132 0.709
0.877 0.598 0.224
```

Top 6 peaks for 10° ≤ 2θ ≤ 90°, in order of rising 2θ:
two_theta  d (Å)  I/Imax
20.25  4.385  55
22.99  3.868  27
31.77  2.817  100
33.68  2.661  79
46.98  1.934  38
59.04  1.565  36

***

MnZn2WO6: simulated powder diffractogram (CuKα), based on a structure optimized by DFT (GGA+U).
Kinematic intensities with the Lorentz-polarization factor, no thermal factor.

Cell and atoms:
```
MnZn2WO6
1.0
5.333 0.000 0.000
0.000 5.319 0.000
-5.115 0.000 7.978
Mn Zn W O
2 4 2 12
direct
0.000 0.249 0.000
0.000 0.751 0.500
0.224 0.225 0.740
0.224 0.775 0.240
0.776 0.275 0.260
0.776 0.725 0.760
0.500 0.250 0.500
0.500 0.750 0.000
0.154 0.147 0.272
0.154 0.853 0.772
0.235 0.410 0.554
0.235 0.590 0.054
0.445 0.061 0.087
0.445 0.939 0.587
0.555 0.439 0.914
0.555 0.561 0.414
0.764 0.090 0.446
0.764 0.910 0.946
0.846 0.353 0.728
0.846 0.647 0.228
```

Top 6 peaks for 10° ≤ 2θ ≤ 90°, in order of rising 2θ:
two_theta  d (Å)  I/Imax
20.06  4.425  56
32.38  2.765  99
33.03  2.712  100
33.66  2.663  92
45.48  1.994  25
48.35  1.883  41

***

YMn2O4: simulated powder diffractogram (CuKα), based on a structure optimized by DFT (GGA+U).
Kinematic intensities with the Lorentz-polarization factor, no thermal factor.

Cell and atoms:
```
YMn2O4
1.0
3.202 1.848 5.213
-3.202 1.848 5.213
0.000 -3.697 5.213
Y Mn O
2 4 8
direct
0.118 0.118 0.118
0.882 0.882 0.882
0.000 0.500 0.500
0.500 0.000 0.500
0.500 0.500 0.000
0.500 0.500 0.500
0.252 0.252 0.252
0.258 0.258 0.699
0.258 0.699 0.258
0.301 0.742 0.742
0.699 0.258 0.258
0.742 0.301 0.742
0.742 0.742 0.301
0.748 0.748 0.748
```

Top 6 peaks for 10° ≤ 2θ ≤ 90°, in order of rising 2θ:
two_theta  d (Å)  I/Imax
27.89  3.199  48
32.84  2.728  100
49.32  1.848  12
52.56  1.741  37
57.58  1.601  21
57.70  1.598  20

***

YMn2O4: simulated powder diffractogram (CuKα), based on a structure optimized by DFT (GGA+U).
Kinematic intensities with the Lorentz-polarization factor, no thermal factor.

Cell and atoms:
```
YMn2O4
1.0
4.487 -4.406 0.000
4.487 4.406 0.000
-4.318 0.000 4.771
Y Mn O
2 4 8
direct
0.250 0.750 0.500
0.750 0.250 0.000
0.250 0.251 0.500
0.251 0.250 0.000
0.615 0.885 0.250
0.885 0.615 0.750
0.015 0.464 0.475
0.018 0.026 0.486
0.026 0.018 0.986
0.035 0.485 0.024
0.464 0.015 0.975
0.474 0.481 0.014
0.481 0.474 0.514
0.485 0.035 0.524
```

Top 6 peaks for 10° ≤ 2θ ≤ 90°, in order of rising 2θ:
two_theta  d (Å)  I/Imax
17.08  5.190  72
31.20  2.867  99
31.85  2.810  72
32.69  2.739  100
33.33  2.688  79
33.55  2.671  84

***

YMn2O4: simulated powder diffractogram (CuKα), based on a structure optimized by DFT (GGA+U).
Kinematic intensities with the Lorentz-polarization factor, no thermal factor.

Cell and atoms:
```
YMn2O4
1.0
-2.872 2.872 4.931
2.872 -2.872 4.931
2.872 2.872 -4.931
Y Mn O
2 4 8
direct
0.375 0.125 0.250
0.625 0.875 0.750
0.000 0.000 0.500
0.000 0.500 0.000
0.000 0.500 0.500
0.500 0.500 0.000
0.023 0.130 0.302
0.222 0.523 0.393
0.328 0.722 0.198
0.370 0.172 0.893
0.630 0.828 0.107
0.672 0.278 0.802
0.778 0.477 0.607
0.977 0.870 0.698
```

Top 6 peaks for 10° ≤ 2θ ≤ 90°, in order of rising 2θ:
two_theta  d (Å)  I/Imax
28.47  3.135  29
31.35  2.853  33
36.15  2.485  100
48.82  1.865  18
53.79  1.704  17
58.92  1.567  22

***

Y4ZrMn5O15: simulated powder diffractogram (CuKα), based on a structure optimized by DFT (GGA+U).
Kinematic intensities with the Lorentz-polarization factor, no thermal factor.

Cell and atoms:
```
Y4ZrMn5O15
1.0
6.249 0.000 0.000
-3.122 9.031 0.000
-3.096 -1.832 11.499
Y Zr Mn O
8 2 10 30
direct
0.000 0.000 0.000
0.075 0.695 0.467
0.172 0.392 0.958
0.302 0.104 0.501
0.597 0.200 0.998
0.680 0.895 0.471
0.787 0.601 0.980
0.899 0.305 0.501
0.366 0.796 0.950
0.470 0.492 0.448
0.068 0.247 0.229
0.100 0.136 0.729
0.271 0.655 0.224
0.317 0.552 0.727
0.474 0.044 0.233
0.513 0.948 0.729
0.669 0.445 0.225
0.694 0.358 0.731
0.859 0.850 0.228
0.888 0.745 0.724
0.012 0.790 0.903
0.031 0.349 0.725
0.121 0.042 0.206
0.165 0.279 0.398
0.189 0.627 0.054
0.205 0.169 0.896
0.235 0.521 0.560
0.255 0.756 0.751
0.353 0.450 0.255
0.359 0.672 0.393
0.384 0.990 0.062
0.396 0.902 0.563
0.398 0.587 0.893
0.429 0.147 0.710
0.552 0.854 0.257
0.553 0.418 0.060
0.570 0.095 0.402
0.598 0.345 0.564
0.612 0.984 0.897
0.646 0.551 0.754
0.723 0.244 0.208
0.724 0.809 0.060
0.767 0.470 0.393
0.773 0.690 0.546
0.789 0.374 0.897
0.828 0.948 0.716
0.932 0.647 0.224
0.988 0.890 0.395
0.990 0.230 0.064
0.993 0.110 0.564
```

Top 6 peaks for 10° ≤ 2θ ≤ 90°, in order of rising 2θ:
two_theta  d (Å)  I/Imax
28.55  3.127  42
29.61  3.017  75
31.11  2.875  51
32.59  2.748  100
42.69  2.118  24
50.56  1.805  71

***

MnZnO2: simulated powder diffractogram (CuKα), based on a structure optimized by DFT (GGA+U).
Kinematic intensities with the Lorentz-polarization factor, no thermal factor.

Cell and atoms:
```
MnZnO2
1.0
7.941 -1.496 0.000
7.941 1.496 0.000
-5.804 0.000 7.938
Mn Zn O
4 4 8
direct
0.130 0.130 0.453
0.343 0.343 0.176
0.657 0.657 0.824
0.870 0.870 0.547
0.185 0.185 0.209
0.487 0.487 0.113
0.513 0.513 0.887
0.815 0.815 0.791
0.036 0.036 0.771
0.291 0.291 0.913
0.347 0.347 0.673
0.354 0.354 0.398
0.646 0.646 0.602
0.653 0.653 0.327
0.709 0.709 0.087
0.964 0.964 0.229
```

Top 6 peaks for 10° ≤ 2θ ≤ 90°, in order of rising 2θ:
two_theta  d (Å)  I/Imax
34.17  2.624  100
35.11  2.556  40
35.88  2.503  44
40.84  2.210  43
48.67  1.871  63
59.79  1.547  42

***

MnZn4O5: simulated powder diffractogram (CuKα), based on a structure optimized by DFT (GGA+U).
Kinematic intensities with the Lorentz-polarization factor, no thermal factor.

Cell and atoms:
```
MnZn4O5
1.0
6.286 0.000 0.000
1.730 6.392 0.000
1.578 2.996 12.681
Mn Zn O
4 16 20
direct
0.000 0.000 0.000
0.000 0.500 0.000
0.398 0.200 0.403
0.399 0.700 0.403
0.061 0.450 0.570
0.061 0.950 0.570
0.199 0.101 0.200
0.199 0.601 0.200
0.267 0.051 0.766
0.267 0.551 0.766
0.469 0.150 0.965
0.469 0.650 0.965
0.601 0.299 0.602
0.601 0.799 0.602
0.664 0.250 0.169
0.664 0.750 0.169
0.797 0.403 0.799
0.797 0.903 0.799
0.870 0.350 0.366
0.870 0.850 0.366
0.102 0.362 0.726
0.102 0.862 0.726
0.168 0.314 0.288
0.168 0.814 0.288
0.312 0.461 0.921
0.312 0.961 0.921
0.365 0.411 0.499
0.365 0.911 0.499
0.502 0.063 0.123
0.503 0.563 0.123
0.570 0.013 0.690
0.570 0.513 0.690
0.710 0.160 0.324
0.710 0.660 0.324
0.766 0.117 0.887
0.766 0.617 0.887
0.903 0.262 0.524
0.903 0.762 0.524
0.966 0.210 0.096
0.966 0.710 0.096
```

Top 6 peaks for 10° ≤ 2θ ≤ 90°, in order of rising 2θ:
two_theta  d (Å)  I/Imax
31.10  2.875  42
31.18  2.869  21
33.53  2.673  48
35.45  2.532  100
55.33  1.660  29
61.17  1.515  28

***

Mn3ZnO7: simulated powder diffractogram (CuKα), based on a structure optimized by DFT (GGA+U).
Kinematic intensities with the Lorentz-polarization factor, no thermal factor.

Cell and atoms:
```
Mn3ZnO7
1.0
3.859 2.228 4.791
-3.859 2.228 4.791
0.000 -4.456 4.791
Mn Zn O
6 2 14
direct
0.079 0.640 0.785
0.215 0.921 0.360
0.360 0.215 0.921
0.640 0.785 0.079
0.785 0.079 0.640
0.921 0.360 0.215
0.375 0.375 0.375
0.625 0.625 0.625
0.055 0.338 0.906
0.094 0.945 0.662
0.167 0.632 0.481
0.235 0.235 0.235
0.338 0.906 0.055
0.368 0.519 0.833
0.481 0.167 0.632
0.519 0.833 0.368
0.632 0.481 0.167
0.662 0.094 0.945
0.765 0.765 0.765
0.833 0.368 0.519
0.906 0.055 0.338
0.945 0.662 0.094
```

Top 6 peaks for 10° ≤ 2θ ≤ 90°, in order of rising 2θ:
two_theta  d (Å)  I/Imax
18.52  4.791  97
28.19  3.165  45
29.73  3.006  55
36.10  2.488  100
43.80  2.067  61
63.81  1.459  41

***

> What is the formula in the tenth record?

Mn3ZnO7